Computed powder diffractogram of La3ZnCuRh2PbO12 for Cu Kα, from a DFT-relaxed cell (GGA-PBE, the Materials Project).
No peak broadening, texture or thermal motion is included.

Largest 8 diffraction maxima, most intense first, 2θ from 10° to 90°:
h k l  d [Å]  intensity
1 -1 2  2.827  100
2 0 0  2.797  65
0 2 0  2.872  28
0 0 4  1.985  18
3 -1 2  1.622  15
2 2 0  1.992  14
2 -2 0  2.015  14
-3 1 2  1.625  14

Cell and atoms:
```
20
Lattice="5.5929 0.0000 0.0000 -0.0639 5.7439 0.0000 -0.0370 -0.0730 7.9398" Properties=species:S:1:pos:R:3 pbc="T T T"
La 0.0000 0.0000 0.0000
La 0.1051 0.5831 3.9563
La 2.8607 2.8080 7.9314
Zn 2.8387 0.2526 5.9398
Cu 0.0026 3.1998 2.0003
Rh -0.0145 3.1458 5.9392
Rh 2.8515 0.3253 1.9882
Pb 2.7456 3.4669 3.9878
O 0.5173 3.2548 7.9096
O 1.0263 4.8488 5.5853
O 1.1280 4.9050 2.3300
O 1.6662 2.0518 5.5199
O 1.7545 2.0035 2.4204
O 2.3336 0.5105 0.0035
O 3.3104 0.0207 3.9148
O 3.8848 4.4102 1.5603
O 3.9211 4.2444 6.3235
O 4.5180 1.4646 1.6119
O 4.5350 1.4149 6.3193
O 5.0076 2.9865 4.0115
```